Record 1
# NaCoAsO4
Theoretical XRD peak list, Cu Kα (weighted mean of Kα1 and Kα2). Input: DFT lattice parameters and positions (GGA+U).
Peak positions follow from Bragg's law for the DFT cell and can differ from measured ones.

Structure:
Unit cell a=9.2334 b=9.2334 c=9.2334 alpha=31.22 beta=31.22 gamma=31.22
Fractional coordinates of all 14 atoms:
1 Na 0.2131 0.2131 0.2131
2 Na 0.7869 0.7869 0.7869
3 Co 0.3366 0.3366 0.3366
4 Co 0.6634 0.6634 0.6634
5 As 0.0679 0.0679 0.0679
6 As 0.9321 0.9321 0.9321
7 O 0.0364 0.3841 0.7208
8 O 0.1316 0.1316 0.1316
9 O 0.2792 0.9636 0.6159
10 O 0.3841 0.7208 0.0364
11 O 0.6159 0.2792 0.9636
12 O 0.7208 0.0364 0.3841
13 O 0.8684 0.8684 0.8684
14 O 0.9636 0.6159 0.2792

Peak list (12 most intense, 10 to 90 degrees two-theta, low angle first)
d/Å  I (rel.)
8.776  100
4.247  23
3.602  11
3.332  12
2.832  39
2.614  16
2.485  43
2.391  8
1.868  12
1.493  11
1.434  30
1.416  6

---

Record 2
# NaCo2As3O10
Theoretical XRD peak list, Cu Kα (weighted mean of Kα1 and Kα2). Input: DFT lattice parameters and positions (GGA+U).
Peak positions follow from Bragg's law for the DFT cell and can differ from measured ones.

Structure:
Unit cell a=6.7736 b=7.7918 c=8.6523 alpha=108.13 beta=108.12 gamma=100.04
Fractional coordinates of all 32 atoms:
1 Na 0.2504 0.1981 0.0535
2 Na 0.7496 0.8019 0.9465
3 Co 0.0485 0.8499 0.3601
4 Co 0.3929 0.6688 0.5620
5 Co 0.6071 0.3312 0.4380
6 Co 0.9515 0.1501 0.6399
7 As 0.0436 0.2417 0.3284
8 As 0.2620 0.5693 0.8793
9 As 0.4835 0.1225 0.7093
10 As 0.5165 0.8775 0.2907
11 As 0.7380 0.4307 0.1207
12 As 0.9564 0.7583 0.6716
13 O 0.0180 0.0118 0.2173
14 O 0.0691 0.6949 0.5184
15 O 0.1087 0.7295 0.8691
16 O 0.1144 0.3749 0.8817
17 O 0.2220 0.1014 0.5821
18 O 0.2972 0.3866 0.3868
19 O 0.3420 0.7892 0.3726
20 O 0.4028 0.5591 0.7499
21 O 0.4796 0.0665 0.2415
22 O 0.4813 0.7006 0.0870
23 O 0.5187 0.2994 0.9130
24 O 0.5204 0.9335 0.7585
25 O 0.5972 0.4409 0.2501
26 O 0.6580 0.2108 0.6274
27 O 0.7028 0.6134 0.6132
28 O 0.7780 0.8986 0.4179
29 O 0.8856 0.6251 0.1183
30 O 0.8913 0.2705 0.1309
31 O 0.9309 0.3051 0.4816
32 O 0.9820 0.9882 0.7827

Peak list (12 most intense, 10 to 90 degrees two-theta, low angle first)
d/Å  I (rel.)
7.571  64
3.852  33
3.449  43
3.188  61
3.031  100
2.807  79
2.764  32
2.739  28
2.728  25
2.586  22
2.523  29
2.481  44

---

Record 3
# NbCoAsO
Theoretical XRD peak list, Cu Kα (weighted mean of Kα1 and Kα2). Input: DFT lattice parameters and positions (GGA+U).
Peak positions follow from Bragg's law for the DFT cell and can differ from measured ones.

Structure:
Unit cell a=3.5969 b=3.5969 c=7.6626 alpha=90.00 beta=90.00 gamma=90.00
Fractional coordinates of all 8 atoms:
1 Nb 0.2500 0.2500 0.1707
2 Nb 0.7500 0.7500 0.8293
3 Co 0.2500 0.7500 0.5000
4 Co 0.7500 0.2500 0.5000
5 As 0.2500 0.2500 0.6844
6 As 0.7500 0.7500 0.3156
7 O 0.2500 0.7500 0.0000
8 O 0.7500 0.2500 0.0000

Peak list (12 most intense, 10 to 90 degrees two-theta, low angle first)
d/Å  I (rel.)
7.663  16
2.622  100
2.543  22
2.414  15
2.119  94
1.798  52
1.691  37
1.530  14
1.483  33
1.272  16
1.232  26
1.090  20

---

Record 4
# NbCoAsO
Theoretical XRD peak list, Cu Kα (weighted mean of Kα1 and Kα2). Input: DFT lattice parameters and positions (GGA+U).
Peak positions follow from Bragg's law for the DFT cell and can differ from measured ones.

Structure:
Unit cell a=4.0226 b=4.3031 c=3.3173 alpha=90.00 beta=90.00 gamma=90.00
Fractional coordinates of all 4 atoms:
1 Nb 0.0000 0.0000 0.0000
2 Co 0.5000 0.5000 0.0077
3 As 0.0000 0.5000 0.5028
4 O 0.5000 0.0000 0.9974

Peak list (12 most intense, 10 to 90 degrees two-theta, low angle first)
d/Å  I (rel.)
4.023  23
3.317  16
2.627  28
2.200  100
2.152  31
2.011  25
1.659  13
1.597  12
1.469  17
1.251  16
1.194  14
1.100  13

---

Record 5
# Co3As2O8
Theoretical XRD peak list, Cu Kα (weighted mean of Kα1 and Kα2). Input: DFT lattice parameters and positions (GGA+U).
Peak positions follow from Bragg's law for the DFT cell and can differ from measured ones.

Structure:
Unit cell a=6.4633 b=8.4932 c=11.1589 alpha=90.00 beta=90.79 gamma=90.00
Fractional coordinates of all 52 atoms:
1 Co 0.1106 0.0569 0.3755
2 Co 0.1106 0.4431 0.8755
3 Co 0.2576 0.6691 0.3608
4 Co 0.2576 0.8309 0.8608
5 Co 0.3892 0.1671 0.9466
6 Co 0.3892 0.3329 0.4466
7 Co 0.6108 0.6671 0.5534
8 Co 0.6108 0.8329 0.0534
9 Co 0.7424 0.1691 0.1392
10 Co 0.7424 0.3309 0.6392
11 Co 0.8894 0.5569 0.1245
12 Co 0.8894 0.9431 0.6245
13 As 0.1084 0.5832 0.6339
14 As 0.1084 0.9168 0.1339
15 As 0.3971 0.0448 0.6442
16 As 0.3971 0.4552 0.1442
17 As 0.6029 0.5448 0.8558
18 As 0.6029 0.9552 0.3558
19 As 0.8916 0.0832 0.8661
20 As 0.8916 0.4168 0.3661
21 O 0.0292 0.1011 0.1764
22 O 0.0292 0.3989 0.6764
23 O 0.0715 0.2114 0.9260
24 O 0.0715 0.2886 0.4260
25 O 0.1724 0.5052 0.0684
26 O 0.1724 0.9948 0.5684
27 O 0.2079 0.6402 0.7701
28 O 0.2079 0.8598 0.2701
29 O 0.3046 0.5670 0.5288
30 O 0.3046 0.9330 0.0288
31 O 0.3588 0.0398 0.7958
32 O 0.3588 0.4602 0.2958
33 O 0.4225 0.1005 0.3825
34 O 0.4225 0.3995 0.8825
35 O 0.4608 0.2361 0.6058
36 O 0.4608 0.2639 0.1058
37 O 0.5392 0.7361 0.8942
38 O 0.5392 0.7639 0.3942
39 O 0.5775 0.6005 0.1175
40 O 0.5775 0.8995 0.6175
41 O 0.6412 0.5398 0.7042
42 O 0.6412 0.9602 0.2042
43 O 0.6954 0.0670 0.9712
44 O 0.6954 0.4330 0.4712
45 O 0.7921 0.1402 0.7299
46 O 0.7921 0.3598 0.2299
47 O 0.8276 0.0052 0.4316
48 O 0.8276 0.4948 0.9316
49 O 0.9285 0.7114 0.5740
50 O 0.9285 0.7886 0.0740
51 O 0.9708 0.6011 0.3236
52 O 0.9708 0.8989 0.8236

Peak list (12 most intense, 10 to 90 degrees two-theta, low angle first)
d/Å  I (rel.)
4.248  55
3.802  47
3.388  46
3.025  55
3.002  64
2.925  53
2.906  100
2.790  83
2.744  59
2.558  40
2.346  32
2.088  31

---

Record 6
# CoAsO3
Theoretical XRD peak list, Cu Kα (weighted mean of Kα1 and Kα2). Input: DFT lattice parameters and positions (GGA+U).
Peak positions follow from Bragg's law for the DFT cell and can differ from measured ones.

Structure:
Unit cell a=4.7125 b=5.2203 c=5.3092 alpha=104.61 beta=95.57 gamma=102.68
Fractional coordinates of all 10 atoms:
1 Co 0.0000 0.0000 0.0000
2 Co 0.0689 0.3313 0.5569
3 As 0.3990 0.9004 0.5821
4 As 0.6336 0.4974 0.1017
5 O 0.1861 0.7286 0.7720
6 O 0.2076 0.0081 0.3566
7 O 0.3259 0.2508 0.8692
8 O 0.4263 0.5702 0.3806
9 O 0.7680 0.0558 0.6829
10 O 0.7985 0.2679 0.2172

Peak list (12 most intense, 10 to 90 degrees two-theta, low angle first)
d/Å  I (rel.)
4.151  16
3.690  16
3.198  55
3.139  31
2.971  30
2.945  100
2.535  22
2.443  14
2.291  13
2.038  14
1.674  20
1.519  16

---

Record 7
# Co2As2PbO8
Theoretical XRD peak list, Cu Kα (weighted mean of Kα1 and Kα2). Input: DFT lattice parameters and positions (GGA+U).
Peak positions follow from Bragg's law for the DFT cell and can differ from measured ones.

Structure:
Unit cell a=8.0037 b=8.0037 c=8.0037 alpha=36.29 beta=36.29 gamma=36.29
Fractional coordinates of all 13 atoms:
1 Co 0.1706 0.1706 0.1706
2 Co 0.8294 0.8294 0.8294
3 As 0.4203 0.4203 0.4203
4 As 0.5797 0.5797 0.5797
5 Pb 0.0000 0.0000 0.0000
6 O 0.1206 0.7823 0.4317
7 O 0.2177 0.5683 0.8794
8 O 0.3448 0.3448 0.3448
9 O 0.4317 0.1206 0.7823
10 O 0.5683 0.8794 0.2177
11 O 0.6552 0.6552 0.6552
12 O 0.7823 0.4317 0.1206
13 O 0.8794 0.2177 0.5683

Peak list (12 most intense, 10 to 90 degrees two-theta, low angle first)
d/Å  I (rel.)
4.239  15
4.028  53
3.109  100
2.571  52
2.492  84
2.073  23
1.945  28
1.790  17
1.533  25
1.494  37
1.454  18
1.439  21

---

Record 8
# SrCoAs2O7
Theoretical XRD peak list, Cu Kα (weighted mean of Kα1 and Kα2). Input: DFT lattice parameters and positions (GGA+U).
Peak positions follow from Bragg's law for the DFT cell and can differ from measured ones.

Structure:
Unit cell a=5.5186 b=8.3324 c=14.0502 alpha=90.00 beta=112.22 gamma=90.00
Fractional coordinates of all 44 atoms:
1 Sr 0.0078 0.1696 0.2179
2 Sr 0.0078 0.3304 0.7179
3 Sr 0.9922 0.6696 0.2821
4 Sr 0.9922 0.8304 0.7821
5 Co 0.2751 0.6398 0.6088
6 Co 0.2751 0.8602 0.1088
7 Co 0.7249 0.1398 0.8912
8 Co 0.7249 0.3602 0.3912
9 As 0.3412 0.1957 0.0122
10 As 0.3412 0.3043 0.5122
11 As 0.4133 0.0223 0.6605
12 As 0.4133 0.4777 0.1605
13 As 0.5867 0.5223 0.8395
14 As 0.5867 0.9777 0.3395
15 As 0.6588 0.6957 0.4878
16 As 0.6588 0.8043 0.9878
17 O 0.0957 0.1675 0.8958
18 O 0.0957 0.3325 0.3958
19 O 0.1649 0.0452 0.7009
20 O 0.1649 0.4548 0.2009
21 O 0.2771 0.1018 0.1089
22 O 0.2771 0.3982 0.6089
23 O 0.3078 0.0951 0.5315
24 O 0.3078 0.4049 0.0315
25 O 0.3080 0.6211 0.7669
26 O 0.3080 0.8789 0.2669
27 O 0.3437 0.6543 0.4737
28 O 0.3437 0.8457 0.9737
29 O 0.4938 0.1702 0.3469
30 O 0.4938 0.3298 0.8469
31 O 0.5062 0.6702 0.1531
32 O 0.5062 0.8298 0.6531
33 O 0.6563 0.1543 0.0263
34 O 0.6563 0.3457 0.5263
35 O 0.6920 0.1211 0.7331
36 O 0.6920 0.3789 0.2331
37 O 0.6922 0.5951 0.9685
38 O 0.6922 0.9049 0.4685
39 O 0.7229 0.6018 0.3911
40 O 0.7229 0.8982 0.8911
41 O 0.8351 0.5452 0.7991
42 O 0.8351 0.9548 0.2991
43 O 0.9043 0.6675 0.6042
44 O 0.9043 0.8325 0.1042

Peak list (12 most intense, 10 to 90 degrees two-theta, low angle first)
d/Å  I (rel.)
3.846  27
3.733  30
3.436  100
3.325  32
3.214  56
3.135  74
2.949  39
2.759  65
2.716  73
2.672  35
2.339  29
2.098  32

---

Record 9
# Co8TeAs2O16
Theoretical XRD peak list, Cu Kα (weighted mean of Kα1 and Kα2). Input: DFT lattice parameters and positions (GGA+U).
Peak positions follow from Bragg's law for the DFT cell and can differ from measured ones.

Structure:
Unit cell a=12.2194 b=12.2194 c=8.4826 alpha=90.00 beta=90.00 gamma=151.51
Fractional coordinates of all 54 atoms:
1 Co 0.0566 0.4434 0.7500
2 Co 0.0582 0.9418 0.8731
3 Co 0.1354 0.8646 0.5256
4 Co 0.1762 0.3238 0.7500
5 Co 0.3238 0.1762 0.2500
6 Co 0.3646 0.6354 0.0256
7 Co 0.4418 0.5582 0.3731
8 Co 0.4434 0.0566 0.2500
9 Co 0.5566 0.9434 0.7500
10 Co 0.5582 0.4418 0.6269
11 Co 0.6354 0.3646 0.9744
12 Co 0.6762 0.8238 0.7500
13 Co 0.8238 0.6762 0.2500
14 Co 0.8646 0.1354 0.4744
15 Co 0.9418 0.0582 0.1269
16 Co 0.9434 0.5566 0.2500
17 Te 0.0000 0.0000 0.5000
18 Te 0.5000 0.5000 0.0000
19 As 0.1906 0.8094 0.8914
20 As 0.3094 0.6906 0.3914
21 As 0.6906 0.3094 0.6086
22 As 0.8094 0.1906 0.1086
23 O 0.0090 0.9910 0.2701
24 O 0.0464 0.4207 0.9929
25 O 0.0793 0.4536 0.5071
26 O 0.1299 0.8701 0.2809
27 O 0.1313 0.8687 0.7681
28 O 0.1630 0.2826 0.4937
29 O 0.2174 0.3370 0.0063
30 O 0.2473 0.7527 0.7675
31 O 0.2527 0.7473 0.2675
32 O 0.2826 0.1630 0.5063
33 O 0.3370 0.2174 0.9937
34 O 0.3687 0.6313 0.2681
35 O 0.3701 0.6299 0.7809
36 O 0.4207 0.0464 0.0071
37 O 0.4536 0.0793 0.4929
38 O 0.4910 0.5090 0.7701
39 O 0.5090 0.4910 0.2299
40 O 0.5464 0.9207 0.5071
41 O 0.5793 0.9536 0.9929
42 O 0.6299 0.3701 0.2191
43 O 0.6313 0.3687 0.7319
44 O 0.6630 0.7826 0.0063
45 O 0.7174 0.8370 0.4937
46 O 0.7473 0.2527 0.7325
47 O 0.7527 0.2473 0.2325
48 O 0.7826 0.6630 0.9937
49 O 0.8370 0.7174 0.5063
50 O 0.8687 0.1313 0.2319
51 O 0.8701 0.1299 0.7191
52 O 0.9207 0.5464 0.4929
53 O 0.9536 0.5793 0.0071
54 O 0.9910 0.0090 0.7299

Peak list (12 most intense, 10 to 90 degrees two-theta, low angle first)
d/Å  I (rel.)
4.804  20
3.430  32
2.786  79
2.754  100
2.544  39
2.319  22
2.301  37
2.110  22
1.691  25
1.630  21
1.504  20
1.496  62

---

Record 10
# CoTe2As2O10
Theoretical XRD peak list, Cu Kα (weighted mean of Kα1 and Kα2). Input: DFT lattice parameters and positions (GGA+U).
Peak positions follow from Bragg's law for the DFT cell and can differ from measured ones.

Structure:
Unit cell a=4.7456 b=6.2482 c=6.3082 alpha=87.41 beta=68.58 gamma=73.92
Fractional coordinates of all 15 atoms:
1 Co 0.0000 0.0000 0.0000
2 Te 0.2498 0.4103 0.1928
3 Te 0.7502 0.5897 0.8072
4 As 0.3397 0.8825 0.3998
5 As 0.6603 0.1175 0.6002
6 O 0.0154 0.0350 0.3080
7 O 0.2612 0.6135 0.4216
8 O 0.2914 0.6572 0.9576
9 O 0.3455 0.1755 0.8712
10 O 0.4002 0.1736 0.4284
11 O 0.5998 0.8264 0.5716
12 O 0.6545 0.8245 0.1288
13 O 0.7086 0.3428 0.0424
14 O 0.7388 0.3865 0.5784
15 O 0.9846 0.9650 0.6920

Peak list (12 most intense, 10 to 90 degrees two-theta, low angle first)
d/Å  I (rel.)
4.257  47
4.065  34
3.139  100
2.958  94
2.852  61
2.819  78
2.700  54
2.603  44
2.359  31
1.929  24
1.824  28
1.579  26